Calculated powder XRD pattern
Compound: DyThPa2Ir4
Radiation: Cu Kα (weighted mean of Kα1 and Kα2)
Structure: a DFT-relaxed cell (GGA-PBE, Alexandria)
Kinematic intensities with the Lorentz-polarization factor, no thermal factor.

Crystal structure
Unit cell a=7.004 b=5.699 c=6.804 alpha=67.48 beta=48.73 gamma=63.80
Fractional positions:
1 Dy 0.000 0.000 0.000
2 Th 0.576 0.576 0.424
3 Pa 0.339 0.339 0.161
4 Pa 0.839 0.839 0.661
5 Ir 0.091 0.495 0.909
6 Ir 0.331 0.851 0.149
7 Ir 0.495 0.091 0.505
8 Ir 0.851 0.331 0.669

Largest 6 diffraction maxima, low angle first, 2θ from 5° to 70°:
d_spacing	2θ/deg	Rel. int.
2.839	31.51	100
2.803	31.92	60
2.099	43.09	16
1.995	45.47	73
1.680	54.62	16
1.588	58.08	16